Starting from DFT lattice parameters and positions (PBE), the PXRD pattern of CdB4Mo3 was calculated for Cu Kα X-rays.
Kinematic intensities with the Lorentz-polarization factor, no thermal factor.

Structural model:
abc: 3.0532 3.1360 9.3608
angles: 90.00 90.00 90.00
Fractional positions:
1 Cd 0.0000 0.0000 0.0000
2 B 0.0000 0.0000 0.2986
3 B 0.0000 0.0000 0.7014
4 B 0.5000 0.0000 0.4011
5 B 0.5000 0.0000 0.5989
6 Mo 0.0000 0.5000 0.5000
7 Mo 0.5000 0.5000 0.2279
8 Mo 0.5000 0.5000 0.7721

Peak list (10 most intense, 10 to 90 degrees two-theta, by angle)
Position (°2θ), I_rel
30.05, 28.8
34.42, 28.0
35.09, 100.0
38.47, 36.5
40.80, 42.2
41.27, 19.4
42.43, 48.4
45.78, 22.1
65.64, 20.0
70.44, 25.8

=====

Starting from DFT lattice parameters and positions (PBE), the PXRD pattern of YHoIn4Fe2 was calculated for Cu Kα X-rays.
Kinematic intensities with the Lorentz-polarization factor, no thermal factor.

Structural model:
abc: 7.5639 4.2788 10.6095
angles: 90.00 90.00 90.00
Fractional positions:
1 Y 0.0000 0.0000 0.0000
2 Y 0.0000 0.5000 0.5000
3 Ho 0.5000 0.0000 0.8639
4 Ho 0.5000 0.5000 0.3639
5 In 0.2006 0.0000 0.2912
6 In 0.2006 0.5000 0.7912
7 In 0.3003 0.0000 0.5727
8 In 0.3003 0.5000 0.0727
9 In 0.6997 0.0000 0.5727
10 In 0.6997 0.5000 0.0727
11 In 0.7994 0.0000 0.2912
12 In 0.7994 0.5000 0.7912
13 Fe 0.0000 0.0000 0.7201
14 Fe 0.0000 0.5000 0.2201
15 Fe 0.5000 0.0000 0.1434
16 Fe 0.5000 0.5000 0.6434

Peak list (10 most intense, 10 to 90 degrees two-theta, by angle)
Position (°2θ), I_rel
32.71, 100.0
32.86, 33.6
34.99, 53.3
35.88, 25.3
39.58, 30.6
40.81, 26.1
42.24, 34.4
59.26, 18.4
61.05, 18.5
71.27, 25.5

=====

Starting from DFT lattice parameters and positions (PBE), the PXRD pattern of TbSmAl2I2 was calculated for Cu Kα X-rays.
Kinematic intensities with the Lorentz-polarization factor, no thermal factor.

Structural model:
abc: 4.3175 4.3175 12.1384
angles: 90.00 90.00 120.00
Fractional positions:
1 Tb 0.0000 0.0000 0.0000
2 Sm 0.0000 0.0000 0.6579
3 Al 0.3333 0.6667 0.8461
4 Al 0.6667 0.3333 0.8166
5 I 0.3333 0.6667 0.4921
6 I 0.6667 0.3333 0.1608

Peak list (10 most intense, 10 to 90 degrees two-theta, by angle)
Position (°2θ), I_rel
14.60, 30.3
23.80, 12.4
24.92, 63.8
28.03, 40.7
32.61, 100.0
41.85, 44.8
44.52, 30.5
54.03, 23.7
62.97, 25.4
70.59, 21.3

=====

Starting from DFT lattice parameters and positions (PBE), the PXRD pattern of ZrZn20Cu2 was calculated for Cu Kα X-rays.
Kinematic intensities with the Lorentz-polarization factor, no thermal factor.

Structural model:
abc: 9.8622 9.8622 9.8622
angles: 60.00 60.00 60.00
Fractional positions:
1 Zr 0.1250 0.1250 0.1250
2 Zr 0.8750 0.8750 0.8750
3 Zn 0.0000 0.0000 0.0000
4 Zn 0.0000 0.0000 0.5000
5 Zn 0.0000 0.5000 0.0000
6 Zn 0.0569 0.3213 0.3213
7 Zn 0.0569 0.3213 0.8005
8 Zn 0.0569 0.8005 0.3213
9 Zn 0.1995 0.6787 0.6787
10 Zn 0.1995 0.6787 0.9431
11 Zn 0.1995 0.9431 0.6787
12 Zn 0.2372 0.2372 0.5128
13 Zn 0.2372 0.5128 0.2372
14 Zn 0.2372 0.5128 0.5128
15 Zn 0.3213 0.0569 0.3213
16 Zn 0.3213 0.0569 0.8005
17 Zn 0.3213 0.3213 0.0569
18 Zn 0.3213 0.3213 0.8005
19 Zn 0.3213 0.8005 0.0569
20 Zn 0.3213 0.8005 0.3213
21 Zn 0.4872 0.4872 0.7628
22 Zn 0.4872 0.7628 0.4872
23 Zn 0.4872 0.7628 0.7628
24 Zn 0.5000 0.0000 0.0000
25 Zn 0.5128 0.2372 0.2372
26 Zn 0.5128 0.2372 0.5128
27 Zn 0.5128 0.5128 0.2372
28 Zn 0.6787 0.1995 0.6787
29 Zn 0.6787 0.1995 0.9431
30 Zn 0.6787 0.6787 0.1995
31 Zn 0.6787 0.6787 0.9431
32 Zn 0.6787 0.9431 0.1995
33 Zn 0.6787 0.9431 0.6787
34 Zn 0.7628 0.4872 0.4872
35 Zn 0.7628 0.4872 0.7628
36 Zn 0.7628 0.7628 0.4872
37 Zn 0.8005 0.0569 0.3213
38 Zn 0.8005 0.3213 0.0569
39 Zn 0.8005 0.3213 0.3213
40 Zn 0.9431 0.1995 0.6787
41 Zn 0.9431 0.6787 0.1995
42 Zn 0.9431 0.6787 0.6787
43 Cu 0.0000 0.5000 0.5000
44 Cu 0.5000 0.0000 0.5000
45 Cu 0.5000 0.5000 0.0000
46 Cu 0.5000 0.5000 0.5000

Peak list (10 most intense, 10 to 90 degrees two-theta, by angle)
Position (°2θ), I_rel
38.17, 100.0
40.92, 45.7
42.50, 84.4
43.02, 91.4
45.03, 27.4
46.50, 31.9
55.94, 21.1
70.12, 22.3
77.42, 50.5
81.34, 19.6

=====

Starting from DFT lattice parameters and positions (PBE), the PXRD pattern of LuSiH2O4 was calculated for Cu Kα X-rays.
Kinematic intensities with the Lorentz-polarization factor, no thermal factor.

Structural model:
abc: 6.2650 5.4847 7.0515
angles: 58.38 48.20 73.42
Fractional positions:
1 Lu 0.0000 0.0000 0.0000
2 Lu 0.2500 0.2500 0.2500
3 Si 0.5360 0.5360 0.4640
4 Si 0.7860 0.7860 0.7140
5 H 0.1661 0.5919 0.8520
6 H 0.3980 0.8601 0.0839
7 H 0.5919 0.1661 0.3899
8 H 0.8601 0.3980 0.6581
9 O 0.2895 0.4224 0.8266
10 O 0.4224 0.2895 0.4615
11 O 0.4234 0.7885 0.9605
12 O 0.5179 0.8755 0.2924
13 O 0.7885 0.4234 0.8276
14 O 0.8755 0.5179 0.3141
15 O 0.9359 0.9576 0.3745
16 O 0.9576 0.9359 0.7321

Peak list (10 most intense, 10 to 90 degrees two-theta, by angle)
Position (°2θ), I_rel
19.10, 88.3
25.71, 100.0
30.21, 17.4
33.02, 62.6
34.14, 21.4
34.90, 37.5
41.67, 25.7
45.36, 35.1
48.80, 35.6
52.85, 43.4

=====

What did the first record say?
Starting from DFT lattice parameters and positions (PBE), the PXRD pattern of CdB4Mo3 was calculated for Cu Kα X-rays.
Kinematic intensities with the Lorentz-polarization factor, no thermal factor.

Structural model:
abc: 3.0532 3.1360 9.3608
angles: 90.00 90.00 90.00
Fractional positions:
1 Cd 0.0000 0.0000 0.0000
2 B 0.0000 0.0000 0.2986
3 B 0.0000 0.0000 0.7014
4 B 0.5000 0.0000 0.4011
5 B 0.5000 0.0000 0.5989
6 Mo 0.0000 0.5000 0.5000
7 Mo 0.5000 0.5000 0.2279
8 Mo 0.5000 0.5000 0.7721

Peak list (10 most intense, 10 to 90 degrees two-theta, by angle)
Position (°2θ), I_rel
30.05, 28.8
34.42, 28.0
35.09, 100.0
38.47, 36.5
40.80, 42.2
41.27, 19.4
42.43, 48.4
45.78, 22.1
65.64, 20.0
70.44, 25.8